# 1
HoPtF7: simulated X-ray diffraction stick pattern (CuKα), based on DFT lattice parameters and positions (PBE).

Top 10 peaks for 2θ from 10° to 90°, low angle first:
22.2 deg, rel. 100; 22.6 deg, rel. 42; 23.2 deg, rel. 15; 26.5 deg, rel. 17; 27.9 deg, rel. 12; 29.2 deg, rel. 34; 30.2 deg, rel. 13; 32.4 deg, rel. 17; 44.8 deg, rel. 14; 48.5 deg, rel. 17

Cell and atoms:
```
HoPtF7
1.0
8.856 0.000 0.000
0.000 5.533 0.000
-5.525 0.000 10.611
Ho Pt F
4 4 28
Cartesian
0.185 1.322 2.805
-2.578 1.444 8.110
5.908 4.089 2.501
3.146 4.211 7.806
2.173 4.100 0.458
-0.589 4.200 5.763
3.920 1.333 4.848
1.157 1.433 10.153
-5.045 4.127 10.074
-2.282 4.173 4.769
-3.784 3.232 7.775
-1.022 5.068 2.469
1.277 3.049 1.865
-1.485 5.251 7.170
1.679 0.191 1.450
-1.083 2.575 6.755
-0.066 0.336 4.849
-2.828 2.431 10.154
0.335 3.117 4.407
-2.427 5.183 9.713
2.253 1.245 3.801
-0.510 1.521 9.106
3.841 4.012 1.505
1.078 4.288 6.810
5.758 0.350 0.898
2.996 2.416 6.203
6.159 3.102 0.457
3.397 5.197 5.762
4.414 2.958 3.855
1.651 5.342 9.161
4.816 0.282 3.440
2.053 2.484 8.746
4.352 0.465 8.141
7.115 2.301 2.836
5.613 1.360 5.842
8.375 1.406 0.537
```



# 2
Mg14VCo: simulated X-ray diffraction stick pattern (CuKα), based on DFT lattice parameters and positions (PBE).

Top 10 peaks for 2θ from 10° to 90°, low angle first:
16.5 deg, rel. 13; 24.5 deg, rel. 5; 33.3 deg, rel. 26; 36.5 deg, rel. 25; 38.1 deg, rel. 100; 50.2 deg, rel. 15; 59.5 deg, rel. 16; 66.8 deg, rel. 17; 71.8 deg, rel. 18; 72.8 deg, rel. 13

Cell and atoms:
```
Mg14VCo
1.0
6.219 0.000 0.000
-3.109 5.386 0.000
0.000 0.000 9.845
Mg V Co
14 1 1
Cartesian
0.000 0.000 2.428
0.000 0.000 7.416
-1.467 2.744 2.494
-1.467 2.744 7.350
1.551 0.895 4.922
1.573 0.908 0.000
1.467 2.744 2.494
1.467 2.744 7.350
0.000 5.284 2.494
0.000 5.284 7.350
4.646 0.908 0.000
3.109 3.569 0.000
4.668 0.895 4.922
3.109 3.595 4.922
0.000 3.591 0.000
0.000 3.591 4.922
```



# 3
MgSn5: simulated X-ray diffraction stick pattern (CuKα), based on DFT lattice parameters and positions (PBE).

Top 10 peaks for 2θ from 10° to 90°, low angle first:
30.5 deg, rel. 32; 31.3 deg, rel. 17; 32.3 deg, rel. 53; 34.4 deg, rel. 69; 34.9 deg, rel. 100; 35.8 deg, rel. 30; 55.2 deg, rel. 24; 58.8 deg, rel. 22; 64.1 deg, rel. 16; 66.3 deg, rel. 25

Cell and atoms:
```
MgSn5
1.0
6.303 -1.706 0.000
6.303 1.706 0.000
-2.203 0.000 7.530
Mg Sn
1 5
Cartesian
0.000 0.000 0.000
3.419 0.000 0.413
2.771 0.000 5.054
6.059 0.000 5.481
7.625 0.000 2.456
11.063 0.000 2.917
```



# 4
LuB4Ru4: simulated X-ray diffraction stick pattern (CuKα), based on DFT lattice parameters and positions (PBE).

Top 10 peaks for 2θ from 10° to 90°, low angle first:
23.9 deg, rel. 13; 32.3 deg, rel. 55; 33.9 deg, rel. 22; 39.9 deg, rel. 43; 40.1 deg, rel. 100; 40.4 deg, rel. 34; 55.0 deg, rel. 14; 64.8 deg, rel. 13; 65.0 deg, rel. 13; 71.3 deg, rel. 24

Cell and atoms:
```
LuB4Ru4
1.0
-3.728 3.728 7.507
3.728 -3.728 7.507
3.728 3.728 -7.507
Lu B Ru
4 16 16
Cartesian
3.728 1.864 -1.877
0.000 1.864 1.877
3.728 1.864 5.630
0.000 1.864 9.384
1.264 0.837 -0.659
1.027 -0.600 3.095
2.464 0.837 0.659
4.755 -0.600 4.412
4.755 0.600 3.095
2.464 -0.837 6.849
1.027 0.600 4.412
1.264 -0.837 8.166
2.464 4.566 -0.659
2.702 3.128 3.095
1.264 4.566 0.659
-1.027 3.128 4.412
-1.027 4.328 3.095
1.264 2.891 6.849
2.702 4.328 4.412
2.464 2.891 8.166
6.601 0.742 -0.946
2.606 2.720 -4.700
4.584 0.742 0.946
2.606 -1.009 4.700
2.606 1.009 2.807
0.855 2.986 -0.946
2.606 4.737 -2.807
2.873 2.986 0.946
0.855 0.742 6.561
1.122 -1.009 10.314
2.873 0.742 8.453
1.122 2.720 4.700
1.122 4.737 2.807
-0.855 2.986 6.561
1.122 1.009 12.207
-2.873 2.986 8.453
```



# 5
Cu2BO6: simulated X-ray diffraction stick pattern (CuKα), based on DFT lattice parameters and positions (PBE).

Top 10 peaks for 2θ from 10° to 90°, low angle first:
18.7 deg, rel. 100; 21.6 deg, rel. 20; 23.5 deg, rel. 96; 28.7 deg, rel. 39; 35.8 deg, rel. 37; 37.3 deg, rel. 27; 40.1 deg, rel. 22; 48.8 deg, rel. 34; 50.5 deg, rel. 21; 56.3 deg, rel. 30

Cell and atoms:
```
Cu2BO6
1.0
9.472 0.000 0.000
0.000 5.597 0.000
0.000 0.000 8.246
Cu B O
8 4 24
Cartesian
2.349 0.003 0.632
2.349 2.795 0.632
2.387 2.802 4.755
2.387 5.593 4.755
7.085 0.003 3.491
7.085 2.795 3.491
7.123 2.802 7.614
7.123 5.593 7.614
0.101 4.197 2.709
4.635 1.399 6.832
4.837 4.197 1.414
9.371 1.399 5.537
0.874 3.084 2.631
0.874 5.311 2.631
1.287 1.399 5.393
1.360 1.399 8.241
1.433 4.197 8.104
1.470 4.197 5.476
3.266 1.399 1.353
3.303 1.399 3.981
3.376 4.197 4.117
3.449 4.197 1.270
3.863 0.286 6.754
3.863 2.513 6.754
5.610 3.084 1.492
5.610 5.311 1.492
6.023 1.399 6.976
6.096 1.399 4.129
6.169 4.197 4.265
6.206 4.197 6.894
8.002 1.399 2.770
8.040 1.399 0.142
8.112 4.197 0.006
8.186 4.197 2.853
8.599 0.286 5.615
8.599 2.513 5.615
```



# 6
SiH6CI3N: simulated X-ray diffraction stick pattern (CuKα), based on DFT lattice parameters and positions (PBE).

Top 10 peaks for 2θ from 10° to 90°, low angle first:
13.7 deg, rel. 29; 14.4 deg, rel. 20; 14.7 deg, rel. 19; 24.7 deg, rel. 52; 24.9 deg, rel. 100; 25.1 deg, rel. 49; 27.5 deg, rel. 43; 29.1 deg, rel. 45; 29.7 deg, rel. 44; 42.1 deg, rel. 30

Cell and atoms:
```
SiH6CI3N
1.0
8.582 0.000 0.000
0.174 8.592 0.000
0.247 0.002 12.954
Si H C I N
4 24 4 12 4
Cartesian
0.000 0.000 0.000
0.326 0.259 6.480
4.368 4.353 0.002
4.701 4.558 6.481
0.253 3.366 4.306
0.425 5.277 2.012
0.651 3.437 8.538
1.167 5.014 8.502
1.099 3.759 2.056
1.263 4.850 4.262
1.482 4.128 10.750
3.620 0.423 2.056
3.757 0.370 8.513
3.993 8.003 4.302
4.145 7.960 10.762
4.393 1.114 10.744
4.367 1.121 4.266
4.875 7.743 2.041
5.098 7.765 8.524
5.371 0.770 8.506
5.252 0.717 2.014
5.748 8.388 4.247
5.866 8.469 10.754
8.121 4.685 8.532
8.054 4.981 4.260
8.032 3.922 2.057
8.321 3.700 10.787
8.825 5.423 10.743
0.327 4.389 3.925
0.477 4.406 10.409
4.681 0.115 10.401
4.571 0.105 3.921
0.372 0.083 10.337
0.310 0.101 3.854
2.318 2.040 6.839
2.509 6.458 0.363
2.674 6.390 6.875
2.509 2.349 0.391
4.749 4.372 10.338
4.674 4.443 3.854
6.711 6.319 6.859
6.729 2.179 0.417
6.864 2.080 6.845
6.874 6.655 0.350
0.326 4.339 2.437
0.457 4.385 8.920
4.535 0.091 2.432
4.680 0.105 8.911
```



# 7
AsXeF7: simulated X-ray diffraction stick pattern (CuKα), based on DFT lattice parameters and positions (PBE).

Top 10 peaks for 2θ from 10° to 90°, low angle first:
19.6 deg, rel. 100; 20.9 deg, rel. 66; 21.9 deg, rel. 55; 23.9 deg, rel. 22; 27.2 deg, rel. 24; 27.6 deg, rel. 35; 27.8 deg, rel. 34; 32.3 deg, rel. 17; 35.5 deg, rel. 18; 36.0 deg, rel. 17

Cell and atoms:
```
AsXeF7
1.0
6.518 0.000 0.000
0.000 6.457 0.000
-3.555 0.000 16.228
As Xe F
4 4 28
Cartesian
-0.389 1.450 6.311
-2.166 1.779 14.425
5.129 4.678 1.803
3.351 5.007 9.917
1.937 1.412 1.971
0.159 1.817 10.085
2.804 4.640 6.143
1.026 5.045 14.257
0.352 4.662 2.006
-1.425 5.023 10.120
-1.831 1.507 12.742
-0.053 1.722 4.628
-0.810 1.120 8.208
0.967 2.108 0.094
-2.124 3.525 14.288
-0.347 6.160 6.174
-2.232 0.067 14.827
-0.454 3.161 6.713
1.306 1.439 6.801
-0.472 1.790 14.915
1.980 4.055 4.416
0.202 5.631 12.530
2.761 0.826 3.699
0.983 2.402 11.813
3.435 4.667 1.314
1.657 5.018 9.428
3.417 3.296 9.516
5.195 6.390 1.401
3.309 0.297 10.054
5.087 2.932 1.940
1.995 4.348 16.135
3.773 5.337 8.020
3.016 4.735 11.600
4.794 4.950 3.486
4.388 1.434 6.108
2.610 1.795 14.223
```



# 8
Nd11In9Ni4: simulated X-ray diffraction stick pattern (CuKα), based on DFT lattice parameters and positions (PBE).

Top 10 peaks for 2θ from 10° to 90°, low angle first:
30.3 deg, rel. 12; 31.9 deg, rel. 11; 32.4 deg, rel. 14; 34.1 deg, rel. 100; 34.4 deg, rel. 39; 36.3 deg, rel. 15; 37.1 deg, rel. 12; 37.5 deg, rel. 13; 48.6 deg, rel. 16; 60.9 deg, rel. 17

Cell and atoms:
```
Nd11In9Ni4
1.0
7.367 -11.067 0.000
7.367 11.067 0.000
0.000 0.000 3.744
Nd In Ni
11 9 4
Cartesian
0.000 0.000 0.000
3.644 3.738 0.000
7.367 7.471 0.000
4.608 0.000 0.000
7.367 2.777 0.000
3.644 -3.738 0.000
11.090 3.738 0.000
7.367 -2.777 0.000
10.126 0.000 0.000
7.367 -7.471 0.000
11.090 -3.738 0.000
2.213 1.549 1.872
5.849 5.198 1.872
2.213 -1.549 1.872
8.885 5.198 1.872
7.367 0.000 1.872
5.849 -5.198 1.872
12.521 1.549 1.872
8.885 -5.198 1.872
12.521 -1.549 1.872
5.119 2.241 1.872
5.119 -2.241 1.872
9.615 2.241 1.872
9.615 -2.241 1.872
```



# 9
SrI2O: simulated X-ray diffraction stick pattern (CuKα), based on DFT lattice parameters and positions (PBE).

Top 10 peaks for 2θ from 10° to 90°, low angle first:
22.8 deg, rel. 77; 27.9 deg, rel. 100; 28.7 deg, rel. 86; 33.1 deg, rel. 25; 34.1 deg, rel. 33; 36.7 deg, rel. 32; 40.3 deg, rel. 22; 45.8 deg, rel. 18; 46.8 deg, rel. 17; 47.3 deg, rel. 42

Cell and atoms:
```
SrI2O
1.0
12.997 0.000 0.000
0.000 4.894 0.000
0.000 0.000 8.948
Sr I O
4 8 4
Cartesian
2.637 1.223 1.024
3.861 3.670 5.498
9.136 1.223 3.450
10.359 3.670 7.924
1.329 3.670 3.177
1.413 3.670 7.879
5.085 1.223 3.405
5.170 1.223 7.651
7.827 3.670 1.297
7.911 3.670 5.543
11.584 1.223 1.069
11.668 1.223 5.772
3.039 3.670 1.115
3.459 1.223 5.589
9.538 3.670 3.359
9.957 1.223 7.833
```